[1]
This entry pairs a crystal structure of Fe21W2C6 with its computed X-ray diffraction stick pattern. Radiation: Cu Ka. Structure: a crystal structure in Alexandria, relaxed with GGA-PBE.
Lines closer than 0.1° are merged.

Cell lengths 7.4150, 7.4150, 7.4150 Å; angles 60.00, 60.00, 60.00 degrees
Fractional positions:
1 Fe 0.0000 0.0000 0.0000
2 Fe 0.0000 0.0000 0.3397
3 Fe 0.0000 0.0000 0.6603
4 Fe 0.0000 0.3397 0.0000
5 Fe 0.0000 0.3397 0.6603
6 Fe 0.0000 0.6603 0.0000
7 Fe 0.0000 0.6603 0.3397
8 Fe 0.1512 0.6163 0.6163
9 Fe 0.3397 0.0000 0.0000
10 Fe 0.3397 0.0000 0.6603
11 Fe 0.3397 0.6603 0.0000
12 Fe 0.3837 0.3837 0.3837
13 Fe 0.3837 0.3837 0.8488
14 Fe 0.3837 0.8488 0.3837
15 Fe 0.6163 0.1512 0.6163
16 Fe 0.6163 0.6163 0.1512
17 Fe 0.6163 0.6163 0.6163
18 Fe 0.6603 0.0000 0.0000
19 Fe 0.6603 0.0000 0.3397
20 Fe 0.6603 0.3397 0.0000
21 Fe 0.8488 0.3837 0.3837
22 W 0.2500 0.2500 0.2500
23 W 0.7500 0.7500 0.7500
24 C 0.2789 0.2789 0.7211
25 C 0.2789 0.7211 0.2789
26 C 0.2789 0.7211 0.7211
27 C 0.7211 0.2789 0.2789
28 C 0.7211 0.2789 0.7211
29 C 0.7211 0.7211 0.2789

Peak list (10 most intense, 2θ from 10° to 80°, by angle)
- d = 5.243 Å, 2θ 16.91, I = 36
- d = 3.707 Å, 2θ 24.00, I = 27
- d = 2.345 Å, 2θ 38.39, I = 90
- d = 2.141 Å, 2θ 42.22, I = 85
- d = 2.018 Å, 2θ 44.92, I = 100
- d = 1.854 Å, 2θ 49.15, I = 48
- d = 1.773 Å, 2θ 51.56, I = 27
- d = 1.581 Å, 2θ 58.37, I = 28
- d = 1.272 Å, 2θ 74.63, I = 26
- d = 1.236 Å, 2θ 77.19, I = 44

---

[2]
This entry pairs a crystal structure of KNaTiBr6 with its computed X-ray diffraction stick pattern. Radiation: Cu Ka. Structure: a crystal structure in Alexandria, relaxed with GGA-PBE.
Lines closer than 0.1° are merged.

Cell lengths 7.3003, 7.3003, 6.9611 Å; angles 90.00, 90.00, 120.00 degrees
Fractional positions:
1 K 0.0000 0.0000 0.0000
2 Na 0.3333 0.6667 0.5000
3 Ti 0.6667 0.3333 0.5000
4 Br 0.3916 0.0447 0.7124
5 Br 0.3916 0.3469 0.2876
6 Br 0.6531 0.0447 0.2876
7 Br 0.6531 0.6084 0.7124
8 Br 0.9553 0.3469 0.7124
9 Br 0.9553 0.6084 0.2876

Peak list (10 most intense, 2θ from 10° to 80°, by angle)
- d = 6.961 Å, 2θ 12.72, I = 16
- d = 6.322 Å, 2θ 14.01, I = 24
- d = 4.680 Å, 2θ 18.96, I = 19
- d = 3.481 Å, 2θ 25.59, I = 15
- d = 3.233 Å, 2θ 27.59, I = 100
- d = 2.519 Å, 2θ 35.64, I = 44
- d = 2.260 Å, 2θ 39.89, I = 29
- d = 2.107 Å, 2θ 42.92, I = 22
- d = 1.958 Å, 2θ 46.37, I = 19
- d = 1.665 Å, 2θ 55.18, I = 9